No. 1
Calculated powder X-ray diffraction pattern
Compound: Li3ZnRh2
Radiation: λ = 1.5418 Å (Cu Kα)
Structure: the GGA-PBE geometry in Alexandria
Lines closer than 0.1° are merged.

Atomic structure:
a = 6.5808 Å, b = 7.3703 Å, c = 6.7401 Å
α = 90.00°, β = 100.60°, γ = 90.00°
Space group C2/c (No. 15)
Unique sites:
1 Li 0.0000 0.0715 0.2500 (multiplicity 4)
2 Li 0.2440 0.0862 0.9994 (multiplicity 8)
3 Zn 0.0000 0.4100 0.2500 (multiplicity 4)
4 Rh 0.1259 0.2623 0.6250 (multiplicity 8)

Peak list (10 most intense, 2θ = 10–90°, low angle first)
Position (°2θ)	I/Imax	h k l
18.25	20.2	1 1 0
24.15	98.3	0 2 0
42.52	100.0	2 0 2
43.00	30.3	2 2 -2
43.45	31.6	3 1 -1
49.48	13.1	2 2 2
61.37	10.3	0 2 4
62.05	10.4	2 4 -2
67.23	9.9	3 1 3
77.77	14.2	3 3 3



No. 2
Calculated powder X-ray diffraction pattern
Compound: CrTc2W
Radiation: λ = 1.5418 Å (Cu Kα)
Structure: the GGA-PBE geometry in Alexandria
Lines closer than 0.1° are merged.

Atomic structure:
a = 6.1297 Å, b = 6.1297 Å, c = 6.1297 Å
α = 90.00°, β = 90.00°, γ = 90.00°
Space group F-43m (No. 216)
Unique sites:
1 Cr 0.0000 0.0000 0.0000 (multiplicity 4)
2 Tc 0.0000 0.0000 0.5000 (multiplicity 4)
3 Tc 0.2500 0.2500 0.7500 (multiplicity 4)
4 W 0.2500 0.2500 0.2500 (multiplicity 4)

Peak list (10 most intense, 2θ = 10–90°, low angle first)
Position (°2θ)	I/Imax	h k l
25.16	11.1	1 1 1
29.14	11.0	2 0 0
41.68	100.0	2 2 0
49.31	5.9	3 1 1
51.66	3.3	2 2 2
60.41	16.4	4 0 0
66.49	2.6	3 3 1
68.45	4.4	4 2 0
76.07	32.8	4 2 2
81.61	2.0	5 1 1



No. 3
Calculated powder X-ray diffraction pattern
Compound: Sc9In3N2
Radiation: λ = 1.5418 Å (Cu Kα)
Structure: the GGA-PBE geometry in Alexandria
Lines closer than 0.1° are merged.

Atomic structure:
a = 6.3616 Å, b = 6.3616 Å, c = 7.8046 Å
α = 90.00°, β = 90.00°, γ = 120.00°
Space group P-3m1 (No. 164)
Unique sites:
1 Sc 0.0000 0.5000 0.0000 (multiplicity 3)
2 Sc 0.1704 0.3409 0.6718 (multiplicity 6)
3 In 0.0000 0.0000 0.0000 (multiplicity 1)
4 In 0.3333 0.6667 0.3347 (multiplicity 2)
5 N 0.3333 0.6667 0.8360 (multiplicity 2)

Peak list (10 most intense, 2θ = 10–90°, low angle first)
Position (°2θ)	I/Imax	h k l
19.72	19.1	0 1 1
28.04	29.4	1 1 0
34.52	100.0	2 0 1
40.07	56.0	0 2 2
45.04	10.3	1 2 1
49.61	12.0	3 0 0
57.95	34.7	2 2 0
69.23	35.1	2 2 3
72.82	8.4	4 0 2
86.49	5.2	0 4 4



No. 4
Calculated powder X-ray diffraction pattern
Compound: Sc4C2S
Radiation: λ = 1.5418 Å (Cu Kα)
Structure: the GGA-PBE geometry in Alexandria
Lines closer than 0.1° are merged.

Atomic structure:
a = 3.4166 Å, b = 11.1799 Å, c = 11.4322 Å
α = 90.00°, β = 90.00°, γ = 90.00°
Space group Cmcm (No. 63)
Unique sites:
1 Sc 0.0000 0.0000 0.0000 (multiplicity 4)
2 Sc 0.0000 0.2611 0.1080 (multiplicity 8)
3 Sc 0.0000 0.4349 0.7500 (multiplicity 4)
4 C 0.0000 0.3659 0.5619 (multiplicity 8)
5 S 0.0000 0.1095 0.7500 (multiplicity 4)

Peak list (10 most intense, 2θ = 10–90°, low angle first)
Position (°2θ)	I/Imax	h k l
31.54	21.0	1 1 2
35.27	85.8	0 2 4
35.76	20.8	0 4 2
36.21	65.2	1 1 3
36.54	100.0	1 3 1
39.09	39.8	1 3 2
53.65	22.9	2 0 0
54.65	23.5	1 5 3
65.85	23.2	2 2 4
68.47	18.6	1 3 7



No. 5
Calculated powder X-ray diffraction pattern
Compound: PmTm8Sc3
Radiation: λ = 1.5418 Å (Cu Kα)
Structure: the GGA-PBE geometry in Alexandria
Lines closer than 0.1° are merged.

Atomic structure:
a = 6.2993 Å, b = 10.8317 Å, c = 11.1814 Å
α = 90.00°, β = 90.00°, γ = 90.00°
Space group Immm (No. 71)
Unique sites:
1 Pm 0.0000 0.0000 0.0000 (multiplicity 2)
2 Tm 0.0000 0.1651 0.2523 (multiplicity 8)
3 Tm 0.2387 0.2728 0.0000 (multiplicity 8)
4 Sc 0.0000 0.0000 0.5000 (multiplicity 2)
5 Sc 0.0000 0.5000 0.2228 (multiplicity 4)

Peak list (10 most intense, 2θ = 10–90°, low angle first)
Position (°2θ)	I/Imax	h k l
16.33	100.0	0 2 0
28.49	19.2	1 3 0
32.02	60.4	0 0 4
32.63	67.4	2 0 2
32.77	82.7	1 3 2
36.14	31.2	0 2 4
36.71	74.5	2 2 2
36.88	34.2	0 4 2
57.51	27.8	2 0 6
68.69	19.3	2 6 4



No. 6
Calculated powder X-ray diffraction pattern
Compound: Ba2LiMn2S6
Radiation: λ = 1.5418 Å (Cu Kα)
Structure: the GGA-PBE geometry in Alexandria
Lines closer than 0.1° are merged.

Atomic structure:
a = 6.8224 Å, b = 6.8224 Å, c = 19.3710 Å
α = 90.00°, β = 90.00°, γ = 120.00°
Space group R-3m (No. 166, hexagonal axes)
Unique sites:
1 Ba 0.0000 0.0000 0.2311 (multiplicity 6)
2 Li 0.0000 0.0000 0.0000 (multiplicity 3)
3 Mn 0.0000 0.0000 0.4488 (multiplicity 6)
4 S 0.0105 0.5052 0.7531 (multiplicity 18)

Peak list (10 most intense, 2θ = 10–90°, low angle first)
Position (°2θ)	I/Imax	h k l
13.71	41.8	0 0 3
23.76	51.5	1 0 4
26.12	100.0	1 1 0
27.61	74.3	0 0 6
31.66	80.2	2 0 2
35.60	97.7	0 2 4
38.36	32.1	2 0 5
50.11	36.7	1 1 9
53.74	42.4	2 2 0
61.48	34.3	2 2 6



No. 7
Calculated powder X-ray diffraction pattern
Compound: Pm2Dy2Sn7
Radiation: λ = 1.5418 Å (Cu Kα)
Structure: the GGA-PBE geometry in Alexandria
Lines closer than 0.1° are merged.

Atomic structure:
a = 9.1246 Å, b = 10.8667 Å, c = 7.2036 Å
α = 90.00°, β = 90.00°, γ = 90.00°
Space group Cmmm (No. 65)
Unique sites:
1 Pm 0.0000 0.2158 0.0000 (multiplicity 4)
2 Dy 0.1892 0.5000 0.5000 (multiplicity 4)
3 Sn 0.0000 0.0000 0.3025 (multiplicity 4)
4 Sn 0.0000 0.5000 0.0000 (multiplicity 2)
5 Sn 0.2500 0.2500 0.2982 (multiplicity 8)

Peak list (10 most intense, 2θ = 10–90°, low angle first)
Position (°2θ)	I/Imax	h k l
20.47	35.1	0 2 1
23.08	83.1	2 0 1
27.87	28.0	1 1 2
32.98	86.0	0 4 0
35.81	100.0	2 2 2
36.53	37.5	1 3 2
39.50	27.4	4 0 0
40.67	61.5	3 3 1
45.86	24.5	2 2 3
52.38	22.0	4 4 0



No. 8
Calculated powder X-ray diffraction pattern
Compound: Pr3Ge4Rh7
Radiation: λ = 1.5418 Å (Cu Kα)
Structure: the GGA-PBE geometry in Alexandria
Lines closer than 0.1° are merged.

Atomic structure:
a = 15.7026 Å, b = 4.1441 Å, c = 9.5710 Å
α = 90.00°, β = 125.53°, γ = 90.00°
Space group C2/m (No. 12)
Unique sites:
1 Pr 0.0000 0.0000 0.0000 (multiplicity 2)
2 Pr 0.1706 0.5000 0.6665 (multiplicity 4)
3 Ge 0.1138 0.0000 0.8375 (multiplicity 4)
4 Ge 0.1651 0.5000 0.2809 (multiplicity 4)
5 Rh 0.0000 0.0000 0.5000 (multiplicity 2)
6 Rh 0.0053 0.5000 0.2768 (multiplicity 4)
7 Rh 0.1608 0.0000 0.4223 (multiplicity 4)
8 Rh 0.1934 0.5000 0.0429 (multiplicity 4)

Peak list (10 most intense, 2θ = 10–90°, low angle first)
Position (°2θ)	I/Imax	h k l
35.18	100.0	1 1 2
35.52	37.2	3 1 -3
35.76	20.7	6 0 -3
35.98	75.3	5 1 -2
37.61	19.8	4 0 -4
38.68	20.2	5 1 -3
42.44	35.9	6 0 0
43.68	54.3	0 2 0
62.54	22.4	6 2 0
67.33	19.2	9 1 -6



No. 9
Calculated powder X-ray diffraction pattern
Compound: RbSm2CuS4
Radiation: λ = 1.5418 Å (Cu Kα)
Structure: the GGA-PBE geometry in Alexandria
Lines closer than 0.1° are merged.

Atomic structure:
a = 4.0533 Å, b = 14.0264 Å, c = 13.9755 Å
α = 90.00°, β = 90.00°, γ = 90.00°
Space group Cmcm (No. 63)
Unique sites:
1 Rb 0.0000 0.1064 0.2500 (multiplicity 4)
2 Sm 0.0000 0.3656 0.0618 (multiplicity 8)
3 Cu 0.0000 0.1646 0.7500 (multiplicity 4)
4 S 0.0000 0.0000 0.0000 (multiplicity 4)
5 S 0.0000 0.2599 0.6112 (multiplicity 8)
6 S 0.0000 0.4245 0.2500 (multiplicity 4)

Peak list (10 most intense, 2θ = 10–90°, low angle first)
Position (°2θ)	I/Imax	h k l
14.13	43.1	0 2 1
22.91	85.2	0 2 3
25.42	54.9	0 4 0
26.20	57.6	1 1 2
29.88	75.6	1 3 1
31.90	100.0	1 3 2
34.53	40.3	0 2 5
39.69	33.3	1 1 5
43.81	76.3	1 5 3
44.72	31.8	2 0 0



No. 10
Calculated powder X-ray diffraction pattern
Compound: Nd2Ti3Bi2O12
Radiation: λ = 1.5418 Å (Cu Kα)
Structure: the GGA-PBE geometry in Alexandria
Lines closer than 0.1° are merged.

Atomic structure:
a = 5.4644 Å, b = 33.4192 Å, c = 5.4236 Å
α = 90.00°, β = 90.00°, γ = 90.00°
Space group Aea2 (No. 41)
Unique sites:
1 Nd 0.0047 0.0650 0.0000 (multiplicity 8)
2 Ti 0.0000 0.0000 0.4941 (multiplicity 4)
3 Ti 0.9997 0.1277 0.4875 (multiplicity 8)
4 Bi 0.0260 0.2113 0.9858 (multiplicity 8)
5 O 0.0650 0.1800 0.4907 (multiplicity 8)
6 O 0.0815 0.4436 0.9729 (multiplicity 8)
7 O 0.2339 0.3779 0.7172 (multiplicity 8)
8 O 0.2389 0.1085 0.7437 (multiplicity 8)
9 O 0.2505 0.0128 0.2310 (multiplicity 8)
10 O 0.2495 0.2508 0.2368 (multiplicity 8)

Peak list (10 most intense, 2θ = 10–90°, low angle first)
Position (°2θ)	I/Imax	h k l
10.59	11.2	0 4 0
23.26	12.5	1 1 1
26.72	14.5	1 5 1
29.82	100.0	1 7 1
32.78	17.1	2 0 0
33.03	19.0	0 0 2
37.70	13.6	0 14 0
47.20	27.8	2 0 2
56.69	15.5	3 7 1
57.02	16.1	1 7 3



No. 11
Calculated powder X-ray diffraction pattern
Compound: Mn2AgTe4
Radiation: λ = 1.5418 Å (Cu Kα)
Structure: the GGA-PBE geometry in Alexandria
Lines closer than 0.1° are merged.

Atomic structure:
a = 11.5252 Å, b = 11.6152 Å, c = 8.1543 Å
α = 90.00°, β = 134.88°, γ = 90.00°
Space group C2/c (No. 15)
Unique sites:
1 Mn 0.0000 0.0000 0.0000 (multiplicity 4)
2 Mn 0.2500 0.2500 0.0000 (multiplicity 4)
3 Ag 0.0000 0.3752 0.2500 (multiplicity 4)
4 Te 0.0006 0.2370 0.5245 (multiplicity 8)
5 Te 0.2262 0.0132 0.9759 (multiplicity 8)

Peak list (10 most intense, 2θ = 10–90°, low angle first)
Position (°2θ)	I/Imax	h k l
21.72	24.5	0 2 1
25.60	18.3	3 1 -1
26.70	100.0	2 2 -2
30.79	28.7	0 4 0
31.00	57.5	4 0 -2
40.37	17.9	1 5 0
40.56	17.2	1 1 -3
44.25	85.6	4 4 -2
44.40	43.0	4 0 0
55.01	18.0	4 4 0



No. 12
Calculated powder X-ray diffraction pattern
Compound: Pa2MnAl8
Radiation: λ = 1.5418 Å (Cu Kα)
Structure: the GGA-PBE geometry in Alexandria
Lines closer than 0.1° are merged.

Atomic structure:
a = 4.2985 Å, b = 4.2985 Å, c = 11.1925 Å
α = 90.00°, β = 90.00°, γ = 90.00°
Space group P4/mmm (No. 123)
Unique sites:
1 Pa 0.0000 0.0000 0.1950 (multiplicity 2)
2 Mn 0.0000 0.0000 0.5000 (multiplicity 1)
3 Al 0.0000 0.5000 0.0000 (multiplicity 2)
4 Al 0.0000 0.5000 0.3829 (multiplicity 4)
5 Al 0.5000 0.5000 0.1921 (multiplicity 2)

Peak list (10 most intense, 2θ = 10–90°, low angle first)
Position (°2θ)	I/Imax	h k l
15.84	30.5	0 0 2
20.66	100.0	1 0 0
23.85	24.2	0 0 3
26.14	34.3	1 0 2
29.39	33.0	1 1 0
31.76	53.8	1 0 3
33.55	46.8	1 1 2
38.19	78.1	1 1 3
42.04	41.8	2 0 0
53.62	29.9	2 1 3



What did the eleventh record say?
Calculated powder X-ray diffraction pattern
Compound: Mn2AgTe4
Radiation: λ = 1.5418 Å (Cu Kα)
Structure: the GGA-PBE geometry in Alexandria
Lines closer than 0.1° are merged.

Atomic structure:
a = 11.5252 Å, b = 11.6152 Å, c = 8.1543 Å
α = 90.00°, β = 134.88°, γ = 90.00°
Space group C2/c (No. 15)
Unique sites:
1 Mn 0.0000 0.0000 0.0000 (multiplicity 4)
2 Mn 0.2500 0.2500 0.0000 (multiplicity 4)
3 Ag 0.0000 0.3752 0.2500 (multiplicity 4)
4 Te 0.0006 0.2370 0.5245 (multiplicity 8)
5 Te 0.2262 0.0132 0.9759 (multiplicity 8)

Peak list (10 most intense, 2θ = 10–90°, low angle first)
Position (°2θ)	I/Imax	h k l
21.72	24.5	0 2 1
25.60	18.3	3 1 -1
26.70	100.0	2 2 -2
30.79	28.7	0 4 0
31.00	57.5	4 0 -2
40.37	17.9	1 5 0
40.56	17.2	1 1 -3
44.25	85.6	4 4 -2
44.40	43.0	4 0 0
55.01	18.0	4 4 0